TcClO3: computed powder diffractogram (a wavelength of 1.5418 Å), based on a DFT-relaxed cell (GGA-PBE, Alexandria).

Cell: 7.393 6.319 5.172 Å, 90.00 90.00 90.00°
Element x y z (fractional)
Tc 0.000 0.216 0.000
Tc 0.500 0.784 0.500
Cl 0.000 0.883 0.858
Cl 0.500 0.117 0.358
O 0.000 0.212 0.331
O 0.189 0.344 0.894
O 0.311 0.656 0.394
O 0.500 0.788 0.831
O 0.689 0.656 0.394
O 0.811 0.344 0.894

Main lines, sorted by position (2θ = 10–80°):
d (Å), I (rel.)
4.804, 85
4.238, 100
4.002, 51
3.697, 37
3.191, 13
3.160, 19
2.716, 21
2.586, 13
2.533, 23
2.277, 22

***

TlTcClO4: computed powder diffractogram (a wavelength of 1.5418 Å), based on a DFT-relaxed cell (GGA-PBE, Alexandria).

Cell: 6.629 6.629 8.758 Å, 109.10 109.10 72.97°
Element x y z (fractional)
Tl 0.206 0.206 0.188
Tl 0.794 0.794 0.812
Tc 0.383 0.383 0.709
Tc 0.617 0.617 0.291
Cl 0.060 0.060 0.854
Cl 0.940 0.940 0.146
O 0.130 0.489 0.755
O 0.353 0.353 0.498
O 0.439 0.439 0.172
O 0.489 0.130 0.755
O 0.511 0.870 0.245
O 0.561 0.561 0.828
O 0.647 0.647 0.502
O 0.870 0.511 0.245

Main lines, sorted by position (2θ = 10–80°):
d (Å), I (rel.)
5.606, 86
5.204, 34
3.998, 70
3.942, 100
3.828, 49
3.564, 32
3.239, 83
2.807, 33
2.518, 39
2.063, 33

***

Te2Cl3O3: computed powder diffractogram (a wavelength of 1.5418 Å), based on a DFT-relaxed cell (GGA-PBE, Alexandria).

Cell: 7.294 7.294 13.435 Å, 90.00 90.00 151.02°
Element x y z (fractional)
Te 0.231 0.769 0.611
Te 0.231 0.769 0.889
Te 0.769 0.231 0.111
Te 0.769 0.231 0.389
Cl 0.153 0.847 0.250
Cl 0.406 0.594 0.097
Cl 0.406 0.594 0.403
Cl 0.594 0.406 0.597
Cl 0.594 0.406 0.903
Cl 0.847 0.153 0.750
O 0.165 0.835 0.750
O 0.198 0.802 0.043
O 0.198 0.802 0.457
O 0.802 0.198 0.543
O 0.802 0.198 0.957
O 0.835 0.165 0.250

Main lines, sorted by position (2θ = 10–80°):
d (Å), I (rel.)
7.062, 100
3.782, 10
3.418, 13
3.359, 12
3.033, 11
2.820, 24
2.774, 17
2.425, 25
2.236, 15
1.598, 11

***

Copy entry 2 word for word.
TlTcClO4: computed powder diffractogram (a wavelength of 1.5418 Å), based on a DFT-relaxed cell (GGA-PBE, Alexandria).

Cell: 6.629 6.629 8.758 Å, 109.10 109.10 72.97°
Element x y z (fractional)
Tl 0.206 0.206 0.188
Tl 0.794 0.794 0.812
Tc 0.383 0.383 0.709
Tc 0.617 0.617 0.291
Cl 0.060 0.060 0.854
Cl 0.940 0.940 0.146
O 0.130 0.489 0.755
O 0.353 0.353 0.498
O 0.439 0.439 0.172
O 0.489 0.130 0.755
O 0.511 0.870 0.245
O 0.561 0.561 0.828
O 0.647 0.647 0.502
O 0.870 0.511 0.245

Main lines, sorted by position (2θ = 10–80°):
d (Å), I (rel.)
5.606, 86
5.204, 34
3.998, 70
3.942, 100
3.828, 49
3.564, 32
3.239, 83
2.807, 33
2.518, 39
2.063, 33

***

Copy entry 1 word for word.
TcClO3: computed powder diffractogram (a wavelength of 1.5418 Å), based on a DFT-relaxed cell (GGA-PBE, Alexandria).

Cell: 7.393 6.319 5.172 Å, 90.00 90.00 90.00°
Element x y z (fractional)
Tc 0.000 0.216 0.000
Tc 0.500 0.784 0.500
Cl 0.000 0.883 0.858
Cl 0.500 0.117 0.358
O 0.000 0.212 0.331
O 0.189 0.344 0.894
O 0.311 0.656 0.394
O 0.500 0.788 0.831
O 0.689 0.656 0.394
O 0.811 0.344 0.894

Main lines, sorted by position (2θ = 10–80°):
d (Å), I (rel.)
4.804, 85
4.238, 100
4.002, 51
3.697, 37
3.191, 13
3.160, 19
2.716, 21
2.586, 13
2.533, 23
2.277, 22

***

Please write out number 3 again, unchanged.
Te2Cl3O3: computed powder diffractogram (a wavelength of 1.5418 Å), based on a DFT-relaxed cell (GGA-PBE, Alexandria).

Cell: 7.294 7.294 13.435 Å, 90.00 90.00 151.02°
Element x y z (fractional)
Te 0.231 0.769 0.611
Te 0.231 0.769 0.889
Te 0.769 0.231 0.111
Te 0.769 0.231 0.389
Cl 0.153 0.847 0.250
Cl 0.406 0.594 0.097
Cl 0.406 0.594 0.403
Cl 0.594 0.406 0.597
Cl 0.594 0.406 0.903
Cl 0.847 0.153 0.750
O 0.165 0.835 0.750
O 0.198 0.802 0.043
O 0.198 0.802 0.457
O 0.802 0.198 0.543
O 0.802 0.198 0.957
O 0.835 0.165 0.250

Main lines, sorted by position (2θ = 10–80°):
d (Å), I (rel.)
7.062, 100
3.782, 10
3.418, 13
3.359, 12
3.033, 11
2.820, 24
2.774, 17
2.425, 25
2.236, 15
1.598, 11